For CsHg6Au4, a DFT-relaxed cell (GGA-PBE, Alexandria) gives the simulated PXRD pattern in this record (Cu Kα X-rays).
Kinematic intensities with the Lorentz-polarization factor, no thermal factor.

Main lines, sorted by position (2θ from 10° to 90°):
2θ 14.41, intensity 62, hkl 1 0 1; 2θ 27.56, intensity 33, hkl 2 1 1; 2θ 29.05, intensity 95, hkl 2 0 2; 2θ 33.28, intensity 52, hkl 2 2 0; 2θ 36.44, intensity 62, hkl 3 0 1; 2θ 36.96, intensity 100, hkl 2 1 3; 2θ 37.35, intensity 50, hkl 3 1 0; 2θ 38.37, intensity 78, hkl 1 1 4; 2θ 48.63, intensity 35, hkl 2 2 4; 2θ 56.43, intensity 32, hkl 4 1 3

Structural model:
```
data_CsHg6Au4
_chemical_formula_sum 'Cs2 Hg12 Au8'
_symmetry_space_group_name_H-M 'I -4 2 m'
_symmetry_Int_Tables_number 121
_symmetry_space_group_name_Hall 'I -4 2'
_cell_length_a 7.6136
_cell_length_b 7.6136
_cell_length_c 10.4243
_cell_angle_alpha 90.00
_cell_angle_beta 90.00
_cell_angle_gamma 90.00
loop_
_atom_site_label
_atom_site_type_symbol
_atom_site_fract_x
_atom_site_fract_y
_atom_site_fract_z
Cs1 Cs 0.0000 0.0000 0.0000
Hg1 Hg 0.0000 0.5000 0.0000
Hg2 Hg 0.1982 0.1982 0.7041
Au1 Au 0.1543 0.1543 0.4187
```

---

For Nd2Sm2Ho3, a DFT-relaxed cell (GGA-PBE, Alexandria) gives the simulated PXRD pattern in this record (Cu Kα X-rays).
Kinematic intensities with the Lorentz-polarization factor, no thermal factor.

Main lines, sorted by position (2θ from 10° to 90°):
2θ 30.44, intensity 100, hkl 1 1 2; 2θ 35.22, intensity 17, hkl 1 2 -2; 2θ 35.32, intensity 34, hkl 2 -1 2; 2θ 50.74, intensity 24, hkl 3 1 0; 2θ 50.82, intensity 12, hkl 1 0 6; 2θ 60.25, intensity 14, hkl 2 3 0; 2θ 60.40, intensity 29, hkl 3 0 4; 2θ 63.34, intensity 12, hkl 2 2 4; 2θ 82.70, intensity 7, hkl 2 -5 4; 2θ 85.44, intensity 8, hkl 5 -3 0

Structural model:
```
data_Nd2Sm2Ho3
_chemical_formula_sum 'Nd4 Sm4 Ho6'
_symmetry_space_group_name_H-M 'P -1'
_symmetry_Int_Tables_number 2
_cell_length_a 6.2315
_cell_length_b 6.2324
_cell_length_c 12.4526
_cell_angle_alpha 99.67
_cell_angle_beta 99.69
_cell_angle_gamma 99.42
loop_
_symmetry_equiv_pos_as_xyz
'x,y,z'
'-x,-y,-z'
loop_
_atom_site_label
_atom_site_type_symbol
_atom_site_fract_x
_atom_site_fract_y
_atom_site_fract_z
Nd1 Nd 0.0710 0.2848 0.0720
Nd2 Nd 0.2156 0.8570 0.7123
Sm1 Sm 0.3568 0.4258 0.8557
Sm2 Sm 0.3568 0.4312 0.3591
Ho1 Ho 0.0714 0.2844 0.5709
Ho2 Ho 0.2140 0.8582 0.2163
Ho3 Ho 0.5000 0.0000 0.0000
Ho4 Ho 0.5000 0.0000 0.5000
```

---

For Sn4As2Au, a DFT-relaxed cell (GGA-PBE, Alexandria) gives the simulated PXRD pattern in this record (Cu Kα X-rays).
Kinematic intensities with the Lorentz-polarization factor, no thermal factor.

Main lines, sorted by position (2θ from 10° to 90°):
2θ 13.10, intensity 46, hkl 0 0 1; 2θ 26.39, intensity 88, hkl 0 0 2; 2θ 29.27, intensity 75, hkl 1 1 -1; 2θ 30.28, intensity 100, hkl 1 -2 0; 2θ 32.13, intensity 66, hkl 1 -2 1; 2θ 36.95, intensity 60, hkl 1 1 1; 2θ 40.04, intensity 49, hkl 0 0 3; 2θ 42.08, intensity 46, hkl 2 -1 0; 2θ 42.22, intensity 46, hkl -1 2 2; 2θ 48.91, intensity 50, hkl 1 -2 3

Structural model:
```
data_Sn4As2Au
_chemical_formula_sum 'Sn4 As2 Au1'
_symmetry_space_group_name_H-M 'P -1'
_symmetry_Int_Tables_number 2
_cell_length_a 4.3560
_cell_length_b 6.5726
_cell_length_c 7.1074
_cell_angle_alpha 101.44
_cell_angle_beta 99.80
_cell_angle_gamma 107.09
loop_
_symmetry_equiv_pos_as_xyz
'x,y,z'
'-x,-y,-z'
loop_
_atom_site_label
_atom_site_type_symbol
_atom_site_fract_x
_atom_site_fract_y
_atom_site_fract_z
Sn1 Sn 0.1261 0.2981 0.0082
Sn2 Sn 0.3238 0.7917 0.5865
As1 As 0.3242 0.3845 0.6689
Au1 Au 0.5000 0.0000 0.0000
```

---

For Tb3Zn8In3, a DFT-relaxed cell (GGA-PBE, Alexandria) gives the simulated PXRD pattern in this record (Cu Kα X-rays).
Kinematic intensities with the Lorentz-polarization factor, no thermal factor.

Main lines, sorted by position (2θ from 10° to 90°):
2θ 34.18, intensity 27, hkl 0 3 3; 2θ 34.34, intensity 100, hkl 1 2 3; 2θ 35.58, intensity 9, hkl 1 1 4; 2θ 36.44, intensity 11, hkl 0 4 0; 2θ 36.90, intensity 17, hkl 1 3 2; 2θ 41.37, intensity 27, hkl 2 0 0; 2θ 41.58, intensity 19, hkl 0 0 6; 2θ 60.10, intensity 12, hkl 2 0 6; 2θ 64.23, intensity 11, hkl 1 6 3; 2θ 70.93, intensity 12, hkl 3 2 3

Structural model:
```
data_Tb3Zn8In3
_chemical_formula_sum 'Tb6 Zn16 In6'
_symmetry_space_group_name_H-M 'I m m m'
_symmetry_Int_Tables_number 71
_symmetry_space_group_name_Hall '-I 2 2'
_cell_length_a 4.3652
_cell_length_b 9.8632
_cell_length_c 13.0312
_cell_angle_alpha 90.00
_cell_angle_beta 90.00
_cell_angle_gamma 90.00
loop_
_atom_site_label
_atom_site_type_symbol
_atom_site_fract_x
_atom_site_fract_y
_atom_site_fract_z
Tb1 Tb 0.0000 0.0000 0.0000
Tb2 Tb 0.0000 0.0000 0.3027
Zn1 Zn 0.0000 0.2640 0.1547
Zn2 Zn 0.0000 0.3753 0.3341
In1 In 0.0000 0.2182 0.5000
In2 In 0.0000 0.5000 0.0000
```

---

For Li2HoCu2Sb2, a DFT-relaxed cell (GGA-PBE, Alexandria) gives the simulated PXRD pattern in this record (Cu Kα X-rays).
Kinematic intensities with the Lorentz-polarization factor, no thermal factor.

Main lines, sorted by position (2θ from 10° to 90°):
2θ 11.02, intensity 22, hkl 0 0 3; 2θ 27.97, intensity 100, hkl 1 0 4; 2θ 35.36, intensity 40, hkl 1 0 7; 2θ 38.30, intensity 18, hkl 0 1 8; 2θ 41.60, intensity 62, hkl 1 1 0; 2θ 48.08, intensity 17, hkl 0 1 11; 2θ 50.88, intensity 19, hkl 0 2 4; 2θ 55.71, intensity 11, hkl 0 2 7; 2θ 63.08, intensity 11, hkl 1 1 12; 2θ 67.74, intensity 16, hkl 2 1 4

Structural model:
```
data_Li2HoCu2Sb2
_chemical_formula_sum 'Li6 Ho3 Cu6 Sb6'
_symmetry_space_group_name_H-M 'R -3 m'
_symmetry_Int_Tables_number 166
_symmetry_space_group_name_Hall '-R 3 2"'
_cell_length_a 4.3423
_cell_length_b 4.3423
_cell_length_c 24.0858
_cell_angle_alpha 90.00
_cell_angle_beta 90.00
_cell_angle_gamma 120.00
loop_
_atom_site_label
_atom_site_type_symbol
_atom_site_fract_x
_atom_site_fract_y
_atom_site_fract_z
Li1 Li 0.0000 0.0000 0.1420
Ho1 Ho 0.0000 0.0000 0.0000
Cu1 Cu 0.0000 0.0000 0.4435
Sb1 Sb 0.0000 0.0000 0.2569
```

---

For NpBi3Au8, a DFT-relaxed cell (GGA-PBE, Alexandria) gives the simulated PXRD pattern in this record (Cu Kα X-rays).
Kinematic intensities with the Lorentz-polarization factor, no thermal factor.

Main lines, sorted by position (2θ from 10° to 90°):
2θ 31.16, intensity 27, hkl 0 1 8; 2θ 31.41, intensity 27, hkl 1 1 0; 2θ 36.68, intensity 43, hkl 1 0 10; 2θ 36.89, intensity 100, hkl 1 1 6; 2θ 37.00, intensity 46, hkl 2 0 2; 2θ 38.67, intensity 51, hkl 0 2 4; 2θ 59.41, intensity 22, hkl 2 1 10; 2θ 59.55, intensity 26, hkl 3 0 6; 2θ 64.99, intensity 28, hkl 0 2 16; 2θ 65.55, intensity 28, hkl 2 2 0

Structural model:
```
data_NpBi3Au8
_chemical_formula_sum 'Np3 Bi9 Au24'
_symmetry_space_group_name_H-M 'R 3 m'
_symmetry_Int_Tables_number 160
_symmetry_space_group_name_Hall 'R 3 -2"'
_cell_length_a 5.6965
_cell_length_b 5.6965
_cell_length_c 28.2297
_cell_angle_alpha 90.00
_cell_angle_beta 90.00
_cell_angle_gamma 120.00
loop_
_atom_site_label
_atom_site_type_symbol
_atom_site_fract_x
_atom_site_fract_y
_atom_site_fract_z
Np1 Np 0.0000 0.0000 0.0000
Bi1 Bi 0.0000 0.0000 0.1295
Bi2 Bi 0.0000 0.0000 0.5018
Bi3 Bi 0.0000 0.0000 0.6296
Au1 Au 0.0000 0.0000 0.3156
Au2 Au 0.0000 0.0000 0.8150
Au3 Au 0.0000 0.5000 0.0645
Au4 Au 0.0011 0.5006 0.5658
```

---

For CaMnSi2Ir, a DFT-relaxed cell (GGA-PBE, Alexandria) gives the simulated PXRD pattern in this record (Cu Kα X-rays).
Kinematic intensities with the Lorentz-polarization factor, no thermal factor.

Main lines, sorted by position (2θ from 10° to 90°):
2θ 17.18, intensity 73, hkl 0 0 2; 2θ 23.78, intensity 59, hkl 1 0 1; 2θ 31.51, intensity 18, hkl 1 1 0; 2θ 34.32, intensity 33, hkl 1 0 3; 2θ 36.10, intensity 100, hkl 1 1 2; 2θ 45.16, intensity 37, hkl 2 0 0; 2θ 47.61, intensity 37, hkl 1 1 4; 2θ 48.66, intensity 21, hkl 2 0 2; 2θ 77.40, intensity 21, hkl 3 1 2; 2θ 85.15, intensity 18, hkl 3 1 4

Structural model:
```
data_CaMnSi2Ir
_chemical_formula_sum 'Ca2 Mn2 Si4 Ir2'
_symmetry_space_group_name_H-M 'I -4 m 2'
_symmetry_Int_Tables_number 119
_symmetry_space_group_name_Hall 'I -4 -2'
_cell_length_a 4.0153
_cell_length_b 4.0153
_cell_length_c 10.3256
_cell_angle_alpha 90.00
_cell_angle_beta 90.00
_cell_angle_gamma 90.00
loop_
_atom_site_label
_atom_site_type_symbol
_atom_site_fract_x
_atom_site_fract_y
_atom_site_fract_z
Ca1 Ca 0.0000 0.0000 0.0000
Mn1 Mn 0.0000 0.5000 0.2500
Si1 Si 0.0000 0.0000 0.3791
Ir1 Ir 0.0000 0.5000 0.7500
```

---

For Pm2Cu6Si3, a DFT-relaxed cell (GGA-PBE, Alexandria) gives the simulated PXRD pattern in this record (Cu Kα X-rays).
Kinematic intensities with the Lorentz-polarization factor, no thermal factor.

Main lines, sorted by position (2θ from 10° to 90°):
2θ 28.45, intensity 15, hkl 2 0 0; 2θ 33.32, intensity 100, hkl 1 1 1; 2θ 37.95, intensity 23, hkl 2 1 0; 2θ 43.27, intensity 28, hkl 3 0 0; 2θ 44.37, intensity 42, hkl 2 1 1; 2θ 45.19, intensity 20, hkl 0 0 2; 2θ 55.68, intensity 12, hkl 2 2 1; 2θ 60.44, intensity 11, hkl 2 1 2; 2θ 64.34, intensity 17, hkl 3 0 2; 2θ 73.02, intensity 23, hkl 4 1 1

Structural model:
```
data_Pm2Cu6Si3
_chemical_formula_sum 'Pm2 Cu6 Si3'
_symmetry_space_group_name_H-M 'P -6 2 m'
_symmetry_Int_Tables_number 189
_symmetry_space_group_name_Hall 'P -6 -2'
_cell_length_a 7.2441
_cell_length_b 7.2441
_cell_length_c 4.0131
_cell_angle_alpha 90.00
_cell_angle_beta 90.00
_cell_angle_gamma 120.00
loop_
_atom_site_label
_atom_site_type_symbol
_atom_site_fract_x
_atom_site_fract_y
_atom_site_fract_z
Pm1 Pm 0.3333 0.6667 0.0000
Cu1 Cu 0.0000 0.1957 0.0000
Cu2 Cu 0.0000 0.7021 0.5000
Si1 Si 0.0000 0.3637 0.5000
```

---

For AcH12Au6, a DFT-relaxed cell (GGA-PBE, Alexandria) gives the simulated PXRD pattern in this record (Cu Kα X-rays).
Kinematic intensities with the Lorentz-polarization factor, no thermal factor.

Main lines, sorted by position (2θ from 10° to 90°):
2θ 23.66, intensity 10, hkl 0 2 1; 2θ 30.19, intensity 100, hkl 0 0 3; 2θ 35.00, intensity 52, hkl 1 2 2; 2θ 44.82, intensity 12, hkl 3 0 3; 2θ 50.30, intensity 15, hkl 2 1 4; 2θ 56.38, intensity 12, hkl 0 5 1; 2θ 57.71, intensity 14, hkl 3 3 0; 2θ 59.43, intensity 10, hkl 5 0 2; 2θ 59.77, intensity 11, hkl 1 2 5; 2θ 66.49, intensity 15, hkl 3 3 3

Structural model:
```
data_AcH12Au6
_chemical_formula_sum 'Ac3 H36 Au18'
_symmetry_space_group_name_H-M 'R -3 m'
_symmetry_Int_Tables_number 166
_symmetry_space_group_name_Hall '-R 3 2"'
_cell_length_a 9.5839
_cell_length_b 9.5839
_cell_length_c 8.8955
_cell_angle_alpha 90.00
_cell_angle_beta 90.00
_cell_angle_gamma 120.00
loop_
_atom_site_label
_atom_site_type_symbol
_atom_site_fract_x
_atom_site_fract_y
_atom_site_fract_z
Ac1 Ac 0.0000 0.0000 0.0000
H1 H 0.0000 0.2809 0.0000
H2 H 0.0860 0.1720 0.2872
Au1 Au 0.0920 0.5460 0.3545
```

---

For LaPm5Sn8, a DFT-relaxed cell (GGA-PBE, Alexandria) gives the simulated PXRD pattern in this record (Cu Kα X-rays).
Kinematic intensities with the Lorentz-polarization factor, no thermal factor.

Main lines, sorted by position (2θ from 10° to 90°):
2θ 23.50, intensity 24, hkl 2 1 1; 2θ 27.66, intensity 100, hkl 1 0 3; 2θ 30.72, intensity 92, hkl 3 0 1; 2θ 31.09, intensity 57, hkl 1 3 0; 2θ 34.08, intensity 74, hkl 2 1 3; 2θ 35.71, intensity 64, hkl 1 3 2; 2θ 36.66, intensity 56, hkl 3 2 1; 2θ 44.51, intensity 35, hkl 4 2 0; 2θ 44.97, intensity 29, hkl 2 2 4; 2θ 55.13, intensity 21, hkl 1 1 6

Structural model:
```
data_LaPm5Sn8
_chemical_formula_sum 'La2 Pm10 Sn16'
_symmetry_space_group_name_H-M 'I -4'
_symmetry_Int_Tables_number 82
_cell_length_a 9.0975
_cell_length_b 9.0975
_cell_length_c 10.3465
_cell_angle_alpha 90.00
_cell_angle_beta 90.00
_cell_angle_gamma 90.00
loop_
_symmetry_equiv_pos_as_xyz
'x,y,z'
'y,-x,-z'
'-x,-y,z'
'-y,x,-z'
'x+1/2,y+1/2,z+1/2'
'y+1/2,-x+1/2,-z+1/2'
'-x+1/2,-y+1/2,z+1/2'
'-y+1/2,x+1/2,-z+1/2'
loop_
_atom_site_label
_atom_site_type_symbol
_atom_site_fract_x
_atom_site_fract_y
_atom_site_fract_z
La1 La 0.0000 0.0000 0.0000
Pm1 Pm 0.0000 0.5000 0.2500
Pm2 Pm 0.1373 0.7859 0.6092
Sn1 Sn 0.0729 0.6502 0.9373
Sn2 Sn 0.1197 0.8239 0.2970
```

---

For Co2NiSb, a DFT-relaxed cell (GGA-PBE, Alexandria) gives the simulated PXRD pattern in this record (Cu Kα X-rays).
Kinematic intensities with the Lorentz-polarization factor, no thermal factor.

Main lines, sorted by position (2θ from 10° to 90°):
2θ 23.84, intensity 7, hkl 1 0 0; 2θ 24.27, intensity 4, hkl 0 0 1; 2θ 34.28, intensity 6, hkl 1 0 1; 2θ 42.19, intensity 100, hkl 1 1 1; 2θ 48.80, intensity 32, hkl 2 0 0; 2θ 49.73, intensity 15, hkl 0 0 2; 2θ 71.50, intensity 10, hkl 2 2 0; 2θ 72.24, intensity 19, hkl 2 0 2; 2θ 86.66, intensity 23, hkl 3 1 1; 2θ 88.06, intensity 11, hkl 1 1 3

Structural model:
```
data_Co2NiSb
_chemical_formula_sum 'Co2 Ni1 Sb1'
_symmetry_space_group_name_H-M 'P 4/m m m'
_symmetry_Int_Tables_number 123
_symmetry_space_group_name_Hall '-P 4 2'
_cell_length_a 3.7322
_cell_length_b 3.7322
_cell_length_c 3.6670
_cell_angle_alpha 90.00
_cell_angle_beta 90.00
_cell_angle_gamma 90.00
loop_
_atom_site_label
_atom_site_type_symbol
_atom_site_fract_x
_atom_site_fract_y
_atom_site_fract_z
Co1 Co 0.0000 0.5000 0.0000
Ni1 Ni 0.0000 0.0000 0.5000
Sb1 Sb 0.5000 0.5000 0.5000
```

---

For Ti3Be8Cr, a DFT-relaxed cell (GGA-PBE, Alexandria) gives the simulated PXRD pattern in this record (Cu Kα X-rays).
Kinematic intensities with the Lorentz-polarization factor, no thermal factor.

Main lines, sorted by position (2θ from 10° to 90°):
2θ 24.42, intensity 89, hkl 0 1 2; 2θ 40.41, intensity 100, hkl 1 1 0; 2θ 47.79, intensity 81, hkl 1 0 10; 2θ 58.48, intensity 8, hkl 2 0 8; 2θ 64.32, intensity 15, hkl 0 2 10; 2θ 73.47, intensity 21, hkl 3 0 0; 2θ 73.56, intensity 7, hkl 1 0 16; 2θ 78.77, intensity 20, hkl 2 1 10; 2θ 87.34, intensity 7, hkl 2 2 0; 2θ 87.44, intensity 7, hkl 0 2 16

Structural model:
```
data_Ti3Be8Cr
_chemical_formula_sum 'Ti9 Be24 Cr3'
_symmetry_space_group_name_H-M 'R 3 m'
_symmetry_Int_Tables_number 160
_symmetry_space_group_name_Hall 'R 3 -2"'
_cell_length_a 4.4658
_cell_length_b 4.4658
_cell_length_c 21.8472
_cell_angle_alpha 90.00
_cell_angle_beta 90.00
_cell_angle_gamma 120.00
loop_
_atom_site_label
_atom_site_type_symbol
_atom_site_fract_x
_atom_site_fract_y
_atom_site_fract_z
Ti1 Ti 0.0000 0.0000 0.0000
Ti2 Ti 0.0000 0.0000 0.1264
Ti3 Ti 0.0000 0.0000 0.6221
Be1 Be 0.0000 0.0000 0.3131
Be2 Be 0.0000 0.0000 0.8123
Be3 Be 0.0050 0.5025 0.0647
Be4 Be 0.1671 0.3341 0.8933
Cr1 Cr 0.0000 0.0000 0.5008
```

---

For LaY2Te4, a DFT-relaxed cell (GGA-PBE, Alexandria) gives the simulated PXRD pattern in this record (Cu Kα X-rays).
Kinematic intensities with the Lorentz-polarization factor, no thermal factor.

Main lines, sorted by position (2θ from 10° to 90°):
2θ 26.61, intensity 72, hkl 0 1 3; 2θ 26.81, intensity 48, hkl 4 0 1; 2θ 27.42, intensity 100, hkl 1 1 3; 2θ 28.54, intensity 66, hkl 4 0 2; 2θ 29.05, intensity 81, hkl 3 1 1; 2θ 31.30, intensity 37, hkl 1 1 4; 2θ 33.25, intensity 38, hkl 3 1 3; 2θ 33.97, intensity 55, hkl 4 1 1; 2θ 36.51, intensity 38, hkl 2 0 6; 2θ 41.70, intensity 64, hkl 0 2 0

Structural model:
```
data_LaY2Te4
_chemical_formula_sum 'La4 Y8 Te16'
_symmetry_space_group_name_H-M 'P n m a'
_symmetry_Int_Tables_number 62
_cell_length_a 13.6146
_cell_length_b 4.3322
_cell_length_c 15.8413
_cell_angle_alpha 90.00
_cell_angle_beta 90.00
_cell_angle_gamma 90.00
loop_
_symmetry_equiv_pos_as_xyz
'x,y,z'
'-x,-y,-z'
'-x+1/2,-y,z+1/2'
'x+1/2,y,-z+1/2'
'x+1/2,-y+1/2,-z+1/2'
'-x+1/2,y+1/2,z+1/2'
'-x,y+1/2,-z'
'x,-y+1/2,z'
loop_
_atom_site_label
_atom_site_type_symbol
_atom_site_fract_x
_atom_site_fract_y
_atom_site_fract_z
La1 La 0.2465 0.2500 0.1742
Y1 Y 0.0542 0.2500 0.3871
Y2 Y 0.0947 0.2500 0.9120
Te1 Te 0.0410 0.7500 0.7857
Te2 Te 0.1025 0.2500 0.5762
Te3 Te 0.1288 0.7500 0.0473
Te4 Te 0.1994 0.7500 0.3261
```